Starting from the GGA-PBE geometry in Alexandria, the powder diffraction line list of Ac6Hg3Os was calculated for Cu Ka.
Peak positions follow from Bragg's law for the DFT cell and can differ from measured ones.

Structural model:
a b c (Å): 8.246 8.351 12.917
angles (deg): 90.00 120.84 90.00
Fractional coordinates of all 20 atoms:
1 Ac 0.068 0.055 0.243
2 Ac 0.068 0.445 0.743
3 Ac 0.221 0.696 0.080
4 Ac 0.221 0.804 0.580
5 Ac 0.346 0.174 0.064
6 Ac 0.346 0.326 0.564
7 Ac 0.654 0.674 0.436
8 Ac 0.654 0.826 0.936
9 Ac 0.779 0.196 0.420
10 Ac 0.779 0.304 0.920
11 Ac 0.932 0.555 0.257
12 Ac 0.932 0.945 0.757
13 Hg 0.334 0.113 0.786
14 Hg 0.334 0.387 0.286
15 Hg 0.500 0.000 0.500
16 Hg 0.500 0.500 0.000
17 Hg 0.666 0.613 0.714
18 Hg 0.666 0.887 0.214
19 Os 0.000 0.000 0.000
20 Os 0.000 0.500 0.500

Most intense lines, 10° ≤ 2θ ≤ 90°, by angle:
24.96 deg, I = 50, (1 0 2)
25.78 deg, I = 57, (1 2 -2)
26.59 deg, I = 60, (2 1 -3)
27.90 deg, I = 78, (1 0 -4)
28.00 deg, I = 100, (1 2 1)
29.92 deg, I = 52, (1 1 -4)
32.32 deg, I = 56, (0 0 4)
33.18 deg, I = 67, (2 2 0)
34.03 deg, I = 67, (1 3 -1)
36.25 deg, I = 86, (3 1 -1)